Computed X-ray powder pattern of Ba2Co3O7 for Cu Ka, from a crystal structure in Alexandria, relaxed with PBE+U.

Structural model:
```
data_Ba2Co3O7
_space_group_name_H-M_alt 'P 1'
_space_group_IT_number 1
_cell_length_a 3.7464
_cell_length_b 3.7575
_cell_length_c 13.5425
_cell_angle_alpha 90.00
_cell_angle_beta 90.00
_cell_angle_gamma 90.00
loop_
_space_group_symop_operation_xyz
'x,y,z'
loop_
_atom_site_label
_atom_site_type_symbol
_atom_site_fract_x
_atom_site_fract_y
_atom_site_fract_z
Ba1 Ba 0.0000 0.0000 0.1828
Ba2 Ba 0.0000 0.0000 0.8172
Co1 Co 0.5000 0.5000 0.0000
Co2 Co 0.5000 0.5000 0.3538
Co3 Co 0.5000 0.5000 0.6462
O1 O 0.0000 0.5000 0.3388
O2 O 0.0000 0.5000 0.6612
O3 O 0.5000 0.0000 0.0000
O4 O 0.5000 0.0000 0.3414
O5 O 0.5000 0.0000 0.6586
O6 O 0.5000 0.5000 0.1323
O7 O 0.5000 0.5000 0.8677
```

Top 10 peaks for 10° ≤ 2θ ≤ 90°, sorted by position:
2θ = 13.07°, I = 31; 2θ = 27.18°, I = 35; 2θ = 30.99°, I = 100; 2θ = 33.79°, I = 39; 2θ = 39.94°, I = 16; 2θ = 48.00°, I = 15; 2θ = 58.65°, I = 17; 2θ = 58.75°, I = 15; 2θ = 59.94°, I = 18; 2θ = 80.62°, I = 15